K2CuH6W: theoretical powder diffractogram (λ = 1.5418 Å (Cu Kα)), based on a crystal structure in OQMD, relaxed with PBE.

Structure:
```
data_K2CuH6W
_chemical_formula_sum 'K4 Cu2 H12 W2'
_cell_length_a 4.9002
_cell_length_b 4.9002
_cell_length_c 11.6466
_cell_angle_alpha 90.00
_cell_angle_beta 90.00
_cell_angle_gamma 120.00
_symmetry_space_group_name_H-M 'P 63/m m c'
_symmetry_Int_Tables_number 194
_symmetry_space_group_name_Hall '-P 6c 2c'
loop_
_atom_site_label
_atom_site_type_symbol
_atom_site_fract_x
_atom_site_fract_y
_atom_site_fract_z
_atom_site_occupancy
K1 K 0.3333 0.6667 0.0677 1
Cu1 Cu 0.3333 0.6667 0.7500 1
H1 H 0.1595 0.3191 0.6488 1
W1 W 0.0000 0.0000 0.2500 1
```

Largest 8 diffraction maxima, sorted by position, 2θ from 10° to 90°:
2θ = 15.21°, I 74, hkl 0 0 2; 2θ = 20.93°, I 31, hkl 1 0 0; 2θ = 25.98°, I 100, hkl 1 0 2; 2θ = 31.23°, I 34, hkl 1 0 3; 2θ = 36.68°, I 72, hkl 1 1 0; 2θ = 39.92°, I 41, hkl 1 1 2; 2θ = 48.56°, I 35, hkl 1 1 4; 2θ = 60.89°, I 30, hkl 1 1 6

***

CuTeH4S4N: theoretical powder diffractogram (λ = 1.5418 Å (Cu Kα)), based on a crystal structure in OQMD, relaxed with PBE.

Structure:
```
data_CuTeH4S4N
_chemical_formula_sum 'Cu1 Te1 H4 S4 N1'
_cell_length_a 5.8644
_cell_length_b 6.2621
_cell_length_c 6.4788
_cell_angle_alpha 80.90
_cell_angle_beta 64.13
_cell_angle_gamma 63.31
_symmetry_space_group_name_H-M 'P 1'
_symmetry_Int_Tables_number 1
loop_
_symmetry_equiv_pos_as_xyz
'x,y,z'
loop_
_atom_site_label
_atom_site_type_symbol
_atom_site_fract_x
_atom_site_fract_y
_atom_site_fract_z
_atom_site_occupancy
Cu1 Cu 0.0000 0.0000 0.0000 1
Te1 Te 0.5004 0.0065 0.0021 1
H1 H 0.5548 0.5858 0.5314 1
H2 H 0.8019 0.3268 0.5727 1
H3 H 0.8289 0.5908 0.5484 1
H4 H 0.8795 0.4552 0.3128 1
S1 S 0.1194 0.3279 0.9483 1
S2 S 0.3885 0.6833 0.0420 1
S3 S 0.5674 0.0646 0.3153 1
S4 S 0.9261 0.9436 0.6782 1
N1 N 0.7657 0.4903 0.4922 1
```

Largest 8 diffraction maxima, sorted by position, 2θ from 10° to 90°:
2θ = 15.22°, I 100, hkl 0 0 1; 2θ = 15.86°, I 88, hkl 0 1 0; 2θ = 21.51°, I 27, hkl 0 1 -1; 2θ = 22.56°, I 20, hkl 0 1 1; 2θ = 29.34°, I 25, hkl 1 2 0; 2θ = 30.71°, I 20, hkl 0 0 2; 2θ = 37.70°, I 24, hkl 2 0 0; 2θ = 46.78°, I 22, hkl 0 0 3

***

Na2ScCuH6: theoretical powder diffractogram (λ = 1.5418 Å (Cu Kα)), based on a crystal structure in OQMD, relaxed with PBE.

Structure:
```
data_Na2ScCuH6
_chemical_formula_sum 'Na8 Sc4 Cu4 H24'
_cell_length_a 7.5839
_cell_length_b 7.5839
_cell_length_c 7.5839
_cell_angle_alpha 90.00
_cell_angle_beta 90.00
_cell_angle_gamma 90.00
_symmetry_space_group_name_H-M 'F m -3 m'
_symmetry_Int_Tables_number 225
_symmetry_space_group_name_Hall '-F 4 2 3'
loop_
_atom_site_label
_atom_site_type_symbol
_atom_site_fract_x
_atom_site_fract_y
_atom_site_fract_z
_atom_site_occupancy
Na1 Na 0.2500 0.2500 0.2500 1
Sc1 Sc 0.0000 0.0000 0.0000 1
Cu1 Cu 0.0000 0.0000 0.5000 1
H1 H 0.0000 0.0000 0.2604 1
```

Largest 8 diffraction maxima, sorted by position, 2θ from 10° to 90°:
2θ = 20.28°, I 5, hkl 1 1 1; 2θ = 23.46°, I 23, hkl 2 0 0; 2θ = 33.42°, I 100, hkl 2 2 0; 2θ = 47.98°, I 19, hkl 4 0 0; 2θ = 54.08°, I 8, hkl 4 2 0; 2θ = 59.73°, I 34, hkl 4 2 2; 2θ = 70.20°, I 10, hkl 4 4 0; 2θ = 80.02°, I 13, hkl 6 2 0

***

PmCuH3: theoretical powder diffractogram (λ = 1.5418 Å (Cu Kα)), based on a crystal structure in OQMD, relaxed with PBE.

Structure:
```
data_PmCuH3
_chemical_formula_sum 'Pm2 Cu2 H6'
_cell_length_a 3.8832
_cell_length_b 4.6097
_cell_length_c 6.0598
_cell_angle_alpha 90.00
_cell_angle_beta 108.68
_cell_angle_gamma 90.00
_symmetry_space_group_name_H-M 'P 1 21/m 1'
_symmetry_Int_Tables_number 11
loop_
_symmetry_equiv_pos_as_xyz
'x,y,z'
'-x,-y,-z'
'-x,y+1/2,-z'
'x,-y+1/2,z'
loop_
_atom_site_label
_atom_site_type_symbol
_atom_site_fract_x
_atom_site_fract_y
_atom_site_fract_z
_atom_site_occupancy
Pm1 Pm 0.1386 0.2500 0.2769 1
Cu1 Cu 0.4259 0.2500 0.8531 1
H1 H 0.0684 0.7500 0.1380 1
H2 H 0.3160 0.5013 0.6322 1
```

Largest 8 diffraction maxima, sorted by position, 2θ from 10° to 90°:
2θ = 24.77°, I 26, hkl 0 1 1; 2θ = 31.12°, I 100, hkl 0 0 2; 2θ = 32.86°, I 30, hkl 1 0 -2; 2θ = 36.89°, I 16, hkl 0 1 2; 2θ = 38.36°, I 43, hkl 1 1 -2; 2θ = 39.08°, I 23, hkl 0 2 0; 2θ = 46.79°, I 14, hkl 2 0 -1; 2θ = 51.96°, I 18, hkl 1 2 -2

***

ZnCu3H: theoretical powder diffractogram (λ = 1.5418 Å (Cu Kα)), based on a crystal structure in OQMD, relaxed with PBE.

Structure:
```
data_ZnCu3H
_chemical_formula_sum 'Zn1 Cu3 H1'
_cell_length_a 3.7094
_cell_length_b 3.7094
_cell_length_c 3.7281
_cell_angle_alpha 90.00
_cell_angle_beta 90.00
_cell_angle_gamma 90.00
_symmetry_space_group_name_H-M 'P 4/m m m'
_symmetry_Int_Tables_number 123
_symmetry_space_group_name_Hall '-P 4 2'
loop_
_atom_site_label
_atom_site_type_symbol
_atom_site_fract_x
_atom_site_fract_y
_atom_site_fract_z
_atom_site_occupancy
Zn1 Zn 0.0000 0.0000 0.0000 1
Cu1 Cu 0.0000 0.5000 0.5000 1
Cu2 Cu 0.5000 0.5000 0.0000 1
H1 H 0.5000 0.5000 0.5000 1
```

Largest 7 diffraction maxima, sorted by position, 2θ from 10° to 90°:
2θ = 42.12°, I 100, hkl 1 1 1; 2θ = 48.86°, I 16, hkl 0 0 2; 2θ = 49.12°, I 32, hkl 2 0 0; 2θ = 71.80°, I 18, hkl 2 0 2; 2θ = 72.01°, I 9, hkl 2 2 0; 2θ = 86.70°, I 11, hkl 1 1 3; 2θ = 87.10°, I 21, hkl 3 1 1

***

Hf7Cu10: theoretical powder diffractogram (λ = 1.5418 Å (Cu Kα)), based on a crystal structure in OQMD, relaxed with PBE.

Structure:
```
data_Hf7Cu10
_chemical_formula_sum 'Hf28 Cu40'
_cell_length_a 9.2589
_cell_length_b 9.2191
_cell_length_c 12.5783
_cell_angle_alpha 90.00
_cell_angle_beta 90.00
_cell_angle_gamma 90.00
_symmetry_space_group_name_H-M 'A e a 2'
_symmetry_Int_Tables_number 41
loop_
_symmetry_equiv_pos_as_xyz
'x,y,z'
'-x,-y,z'
'-x+1/2,y+1/2,z'
'x+1/2,-y+1/2,z'
'x,y+1/2,z+1/2'
'-x,-y+1/2,z+1/2'
'-x+1/2,y,z+1/2'
'x+1/2,-y,z+1/2'
loop_
_atom_site_label
_atom_site_type_symbol
_atom_site_fract_x
_atom_site_fract_y
_atom_site_fract_z
_atom_site_occupancy
Hf1 Hf 0.0000 0.0000 0.0000 1
Hf2 Hf 0.0000 0.0000 0.3113 1
Hf3 Hf 0.0000 0.0000 0.6222 1
Hf4 Hf 0.1925 0.1899 0.8106 1
Hf5 Hf 0.2494 0.2370 0.5608 1
Cu1 Cu 0.0062 0.2040 0.4571 1
Cu2 Cu 0.0079 0.2042 0.1649 1
Cu3 Cu 0.1024 0.3944 0.3113 1
Cu4 Cu 0.2052 0.4836 0.6656 1
Cu5 Cu 0.2049 0.4840 0.9565 1
```

Largest 8 diffraction maxima, sorted by position, 2θ from 10° to 90°:
2θ = 27.30°, I 35, hkl 2 2 0; 2θ = 34.50°, I 18, hkl 2 0 4; 2θ = 37.52°, I 100, hkl 1 3 3; 2θ = 38.91°, I 27, hkl 4 0 0; 2θ = 39.08°, I 24, hkl 0 4 0; 2θ = 39.79°, I 91, hkl 2 2 4; 2θ = 42.11°, I 16, hkl 3 3 1; 2θ = 56.33°, I 18, hkl 4 4 0

***

Hf3Cu8: theoretical powder diffractogram (λ = 1.5418 Å (Cu Kα)), based on a crystal structure in OQMD, relaxed with PBE.

Structure:
```
data_Hf3Cu8
_chemical_formula_sum 'Hf12 Cu32'
_cell_length_a 8.5987
_cell_length_b 8.5987
_cell_length_c 8.5987
_cell_angle_alpha 90.00
_cell_angle_beta 90.00
_cell_angle_gamma 90.00
_symmetry_space_group_name_H-M 'I m -3 m'
_symmetry_Int_Tables_number 229
_symmetry_space_group_name_Hall '-I 4 2 3'
loop_
_atom_site_label
_atom_site_type_symbol
_atom_site_fract_x
_atom_site_fract_y
_atom_site_fract_z
_atom_site_occupancy
Hf1 Hf 0.0000 0.0000 0.2601 1
Cu1 Cu 0.0000 0.3471 0.3471 1
Cu2 Cu 0.2500 0.2500 0.2500 1
```

Largest 8 diffraction maxima, sorted by position, 2θ from 10° to 90°:
2θ = 32.94°, I 24, hkl 3 1 0; 2θ = 36.19°, I 75, hkl 2 2 2; 2θ = 39.20°, I 59, hkl 3 2 1; 2θ = 42.03°, I 34, hkl 4 0 0; 2θ = 44.71°, I 100, hkl 3 3 0; 2θ = 60.95°, I 18, hkl 4 4 0; 2θ = 67.10°, I 20, hkl 6 1 1; 2θ = 72.98°, I 39, hkl 6 2 2

***

Hf3Cu8: theoretical powder diffractogram (λ = 1.5418 Å (Cu Kα)), based on a crystal structure in OQMD, relaxed with PBE.

Structure:
```
data_Hf3Cu8
_chemical_formula_sum 'Hf12 Cu32'
_cell_length_a 7.7956
_cell_length_b 8.0885
_cell_length_c 9.9231
_cell_angle_alpha 90.00
_cell_angle_beta 90.00
_cell_angle_gamma 90.00
_symmetry_space_group_name_H-M 'P n m a'
_symmetry_Int_Tables_number 62
loop_
_symmetry_equiv_pos_as_xyz
'x,y,z'
'-x,-y,-z'
'-x+1/2,-y,z+1/2'
'x+1/2,y,-z+1/2'
'x+1/2,-y+1/2,-z+1/2'
'-x+1/2,y+1/2,z+1/2'
'-x,y+1/2,-z'
'x,-y+1/2,z'
loop_
_atom_site_label
_atom_site_type_symbol
_atom_site_fract_x
_atom_site_fract_y
_atom_site_fract_z
_atom_site_occupancy
Hf1 Hf 0.0404 0.2500 0.0469 1
Hf2 Hf 0.0625 0.5542 0.6401 1
Cu1 Cu 0.1162 0.7500 0.4036 1
Cu2 Cu 0.1209 0.5758 0.1600 1
Cu3 Cu 0.1303 0.2500 0.7653 1
Cu4 Cu 0.1770 0.2500 0.5169 1
Cu5 Cu 0.1988 0.5008 0.9066 1
Cu6 Cu 0.2146 0.2500 0.2730 1
```

Largest 8 diffraction maxima, sorted by position, 2θ from 10° to 90°:
2θ = 26.40°, I 29, hkl 1 2 1; 2θ = 39.13°, I 39, hkl 3 0 2; 2θ = 39.76°, I 100, hkl 1 3 2; 2θ = 40.69°, I 38, hkl 2 3 0; 2θ = 42.33°, I 42, hkl 3 2 1; 2θ = 42.76°, I 43, hkl 0 2 4; 2θ = 44.36°, I 29, hkl 3 0 3; 2θ = 44.77°, I 46, hkl 0 4 0